(1)
The following is a theoretical X-ray diffraction stick pattern of Rb3HfTe3. It was derived from a structure optimized by DFT (PBE), using a wavelength of 1.5418 Å.
Neutral-atom scattering factors, no anomalous dispersion.

Principal peaks in the range 5 to 70 degrees two-theta, by angle:
2theta	d/Å	I/Imax
11.6	7.637	77
12.0	7.392	47
12.3	7.207	42
17.2	5.160	42
25.4	3.501	70
26.1	3.412	100
26.7	3.336	99
31.2	2.866	39
32.1	2.789	39
41.6	2.172	42

Cell and atoms:
Lattice parameters (Å, degrees): 9.1012 14.7835 11.8005 90.00 127.64 90.00
Space group P2_1/c (No. 14)
Symmetry-distinct sites (fractional):
Rb1 0.0985 0.1393 0.4772
Rb2 0.1438 0.0644 0.9020
Rb3 0.3830 0.6900 0.5865
Hf1 0.4432 0.0504 0.3573
Te1 0.1373 0.1636 0.1890
Te2 0.3348 0.6251 0.8665
Te3 0.3674 0.5398 0.2571


(2)
The following is a theoretical X-ray diffraction stick pattern of Rb5HfTe5. It was derived from a structure optimized by DFT (PBE), using a wavelength of 1.5418 Å.
Neutral-atom scattering factors, no anomalous dispersion.

Principal peaks in the range 5 to 70 degrees two-theta, by angle:
2theta	d/Å	I/Imax
9.6	9.204	85
14.2	6.220	64
24.3	3.658	66
25.6	3.481	86
26.3	3.390	100
31.5	2.841	43
36.1	2.487	47
36.8	2.444	23
37.0	2.428	64
45.8	1.982	25

Cell and atoms:
Lattice parameters (Å, degrees): 16.6364 6.7798 9.7918 90.00 109.95 90.00
Space group C2/m (No. 12)
Symmetry-distinct sites (fractional):
Rb1 0.0000 0.0000 0.0000
Rb2 0.1706 0.5000 0.3408
Rb3 0.2005 0.5000 0.8057
Hf1 0.0000 0.0000 0.5000
Te1 0.0000 0.5000 0.5000
Te2 0.1272 0.0000 0.3660
Te3 0.1341 0.0000 0.7815


(3)
The following is a theoretical X-ray diffraction stick pattern of Rb2HfTl4. It was derived from a structure optimized by DFT (PBE), using a wavelength of 1.5418 Å.
Neutral-atom scattering factors, no anomalous dispersion.

Principal peaks in the range 5 to 70 degrees two-theta, by angle:
2theta	d/Å	I/Imax
9.4	9.374	94
16.0	5.528	61
23.7	3.749	45
28.6	3.125	47
29.0	3.082	85
30.9	2.892	100
42.6	2.123	65
44.3	2.045	38
53.6	1.711	34
53.8	1.704	49

Cell and atoms:
Lattice parameters (Å, degrees): 5.7848 5.7848 18.7489 90.00 90.00 90.00
Space group I4/mmm (No. 139)
Symmetry-distinct sites (fractional):
Rb1 0.0000 0.0000 0.1386
Hf1 0.0000 0.0000 0.5000
Tl1 0.0000 0.0000 0.3466
Tl2 0.0000 0.5000 0.0000


(4)
The following is a theoretical X-ray diffraction stick pattern of RbHfV2. It was derived from a structure optimized by DFT (PBE), using a wavelength of 1.5418 Å.
Neutral-atom scattering factors, no anomalous dispersion.

Principal peaks in the range 5 to 70 degrees two-theta, by angle:
2theta	d/Å	I/Imax
18.1	4.912	48
18.6	4.777	21
26.5	3.364	100
35.3	2.541	24
37.7	2.385	58
40.2	2.244	33
54.4	1.687	16
54.6	1.682	25
58.2	1.585	22
65.0	1.435	19

Cell and atoms:
Lattice parameters (Å, degrees): 5.0825 5.0825 19.1070 90.00 90.00 90.00
Space group I4_1/amd (No. 141, origin choice 2)
Symmetry-distinct sites (fractional):
Rb1 0.0000 0.2500 0.3750
Hf1 0.0000 0.2500 0.8750
V1 0.0000 0.0000 0.0000


(5)
The following is a theoretical X-ray diffraction stick pattern of Hf4Re. It was derived from a structure optimized by DFT (PBE), using a wavelength of 1.5418 Å.
Neutral-atom scattering factors, no anomalous dispersion.

Principal peaks in the range 5 to 70 degrees two-theta, by angle:
2theta	d/Å	I/Imax
29.8	2.996	36
30.5	2.934	41
33.9	2.645	39
35.9	2.505	100
41.8	2.161	22
41.9	2.154	34
42.5	2.125	48
48.2	1.888	23
56.9	1.618	26
69.3	1.355	24

Cell and atoms:
Lattice parameters (Å, degrees): 6.1999 11.9848 6.0303 90.00 90.00 90.00
Space group Ccce (No. 68, origin choice 2)
Symmetry-distinct sites (fractional):
Hf1 0.1700 0.1212 0.0631
Re1 0.0000 0.2500 0.7500


(6)
The following is a theoretical X-ray diffraction stick pattern of HfTaRe. It was derived from a structure optimized by DFT (PBE), using a wavelength of 1.5418 Å.
Neutral-atom scattering factors, no anomalous dispersion.

Principal peaks in the range 5 to 70 degrees two-theta, by angle:
2theta	d/Å	I/Imax
36.0	2.493	66
36.2	2.484	32
38.8	2.323	56
39.2	2.301	100
39.6	2.277	90
40.1	2.250	42
41.0	2.203	32
62.8	1.480	26
66.2	1.411	33
69.7	1.349	28

Cell and atoms:
Lattice parameters (Å, degrees): 8.8110 5.4665 9.3067 90.00 90.00 90.00
Space group Amm2 (No. 38)
Symmetry-distinct sites (fractional):
Hf1 0.1810 0.0000 0.0000
Hf2 0.3026 0.0000 0.6660
Ta1 0.2419 0.0000 0.3306
Ta2 0.5000 0.2455 0.9210
Re1 0.0000 0.0000 0.5061
Re2 0.0000 0.2418 0.7474
Re3 0.5000 0.0000 0.1667


(7)
The following is a theoretical X-ray diffraction stick pattern of Hf5TaRe6. It was derived from a structure optimized by DFT (PBE), using a wavelength of 1.5418 Å.
Neutral-atom scattering factors, no anomalous dispersion.

Principal peaks in the range 5 to 70 degrees two-theta, by angle:
2theta	d/Å	I/Imax
39.1	2.305	100
56.5	1.630	17

Cell and atoms:
Lattice parameters (Å, degrees): 4.6048 6.5250 13.8360 90.00 90.00 90.00
Space group Immm (No. 71)
Symmetry-distinct sites (fractional):
Hf1 0.0000 0.0000 0.0000
Hf2 0.0000 0.0000 0.3329
Hf3 0.0000 0.5000 0.3336
Ta1 0.0000 0.5000 0.0000
Re1 0.0000 0.2442 0.5000
Re2 0.0000 0.2528 0.1645


(8)
The following is a theoretical X-ray diffraction stick pattern of HfReTc2. It was derived from a structure optimized by DFT (PBE), using a wavelength of 1.5418 Å.
Neutral-atom scattering factors, no anomalous dispersion.

Principal peaks in the range 5 to 70 degrees two-theta, by angle:
2theta	d/Å	I/Imax
28.1	3.178	10
28.3	3.155	5
40.1	2.247	51
40.3	2.239	100
49.8	1.830	5
58.0	1.589	17
58.5	1.577	8
65.7	1.421	2
65.8	1.419	2
66.1	1.413	2

Cell and atoms:
Lattice parameters (Å, degrees): 4.4946 4.4946 3.1549 90.00 90.00 90.00
Space group P4/mmm (No. 123)
Symmetry-distinct sites (fractional):
Hf1 0.0000 0.0000 0.0000
Re1 0.5000 0.5000 0.0000
Tc1 0.0000 0.5000 0.5000


(9)
The following is a theoretical X-ray diffraction stick pattern of Hf2ReTc3. It was derived from a structure optimized by DFT (PBE), using a wavelength of 1.5418 Å.
Neutral-atom scattering factors, no anomalous dispersion.

Principal peaks in the range 5 to 70 degrees two-theta, by angle:
2theta	d/Å	I/Imax
33.9	2.644	70
34.4	2.606	17
40.0	2.256	21
40.1	2.246	100
40.3	2.237	44
40.6	2.224	42
40.7	2.215	21
41.9	2.154	48
64.8	1.438	16
65.0	1.434	21

Cell and atoms:
Lattice parameters (Å, degrees): 8.9813 5.2933 5.2328 90.00 124.48 90.00
Space group C2/m (No. 12)
Symmetry-distinct sites (fractional):
Hf1 0.1257 0.0000 0.3742
Re1 0.0000 0.5000 0.0000
Tc1 0.0000 0.5000 0.5000
Tc2 0.2500 0.2500 0.0000


(10)
The following is a theoretical X-ray diffraction stick pattern of HfTiReW. It was derived from a structure optimized by DFT (PBE), using a wavelength of 1.5418 Å.
Neutral-atom scattering factors, no anomalous dispersion.

Principal peaks in the range 5 to 70 degrees two-theta, by angle:
2theta	d/Å	I/Imax
19.8	4.480	30
38.6	2.331	100
39.3	2.294	96
39.5	2.283	94
39.6	2.275	93
39.9	2.258	91
40.3	2.240	89
56.9	1.617	32
57.1	1.613	32
57.4	1.606	32

Cell and atoms:
Lattice parameters (Å, degrees): 2.8489 5.2736 5.3060 115.76 100.74 101.10
Space group P-1 (No. 2)
Symmetry-distinct sites (fractional):
Hf1 0.0000 0.0000 0.0000
Ti1 0.0000 0.5000 0.5000
Re1 0.5000 0.5000 0.0000
W1 0.5000 0.0000 0.5000


(11)
The following is a theoretical X-ray diffraction stick pattern of HfTiReW. It was derived from a structure optimized by DFT (PBE), using a wavelength of 1.5418 Å.
Neutral-atom scattering factors, no anomalous dispersion.

Principal peaks in the range 5 to 70 degrees two-theta, by angle:
2theta	d/Å	I/Imax
19.1	4.656	7
19.8	4.481	8
27.7	3.225	9
33.9	2.647	4
34.3	2.614	4
38.7	2.328	27
39.5	2.279	100
40.2	2.241	24
57.0	1.614	17
57.3	1.609	9

Cell and atoms:
Lattice parameters (Å, degrees): 3.2181 4.4814 4.6564 90.00 90.00 90.00
Space group Pmmm (No. 47)
Symmetry-distinct sites (fractional):
Hf1 0.0000 0.0000 0.0000
Ti1 0.5000 0.0000 0.5000
Re1 0.5000 0.5000 0.0000
W1 0.0000 0.5000 0.5000